Calculated powder X-ray diffraction pattern of Mg7Zn3Se2 for copper Kα, from a crystal structure in Alexandria, relaxed with GGA-PBE.
Lines closer than 0.1° are merged.

Principal peaks in the range 10° ≤ 2θ ≤ 90°, low angle first:
- 21.74°, I = 18
- 28.04°, I = 62
- 30.24°, I = 12
- 32.70°, I = 12
- 35.77°, I = 100
- 43.79°, I = 11
- 49.62°, I = 12
- 54.79°, I = 26
- 57.96°, I = 19
- 83.85°, I = 15

Cell and atoms:
Cell lengths 8.9585, 8.9585, 8.9585 Å; angles 41.61, 41.61, 41.61 degrees
Atoms (fractional coordinates):
Mg1 0.0000 0.0000 0.0000
Mg2 0.0852 0.0852 0.5753
Mg3 0.0852 0.5753 0.0852
Mg4 0.4247 0.9148 0.9148
Mg5 0.5753 0.0852 0.0852
Mg6 0.9148 0.4247 0.9148
Mg7 0.9148 0.9148 0.4247
Zn1 0.3519 0.3519 0.3519
Zn2 0.5000 0.5000 0.5000
Zn3 0.6481 0.6481 0.6481
Se1 0.1695 0.1695 0.1695
Se2 0.8305 0.8305 0.8305



Calculated powder X-ray diffraction pattern of Nd3Tl4SnS8 for copper Kα, from a crystal structure in Alexandria, relaxed with GGA-PBE.
Lines closer than 0.1° are merged.

Principal peaks in the range 10° ≤ 2θ ≤ 90°, low angle first:
- 23.79°, I = 28
- 26.05°, I = 62
- 29.53°, I = 100
- 40.81°, I = 38
- 43.65°, I = 35
- 47.79°, I = 16
- 50.31°, I = 24
- 53.58°, I = 19
- 67.43°, I = 16
- 71.50°, I = 16

Cell and atoms:
Cell lengths 8.8824, 8.8824, 8.8824 Å; angles 55.67, 55.67, 55.67 degrees
Atoms (fractional coordinates):
Nd1 0.0000 0.5000 0.5000
Nd2 0.5000 0.0000 0.5000
Nd3 0.5000 0.5000 0.0000
Tl1 0.0000 0.0000 0.5000
Tl2 0.0000 0.5000 0.0000
Tl3 0.5000 0.0000 0.0000
Tl4 0.5000 0.5000 0.5000
Sn1 0.0000 0.0000 0.0000
S1 0.2292 0.2292 0.7431
S2 0.2292 0.7431 0.2292
S3 0.2569 0.7708 0.7708
S4 0.2649 0.2649 0.2649
S5 0.7351 0.7351 0.7351
S6 0.7431 0.2292 0.2292
S7 0.7708 0.2569 0.7708
S8 0.7708 0.7708 0.2569



Calculated powder X-ray diffraction pattern of Tb2PmDy8 for copper Kα, from a crystal structure in Alexandria, relaxed with GGA-PBE.
Lines closer than 0.1° are merged.

Principal peaks in the range 10° ≤ 2θ ≤ 90°, low angle first:
- 29.80°, I = 26
- 32.16°, I = 100
- 32.49°, I = 50
- 33.59°, I = 12
- 33.80°, I = 15
- 47.58°, I = 11
- 56.29°, I = 14
- 57.76°, I = 19
- 63.18°, I = 12
- 64.21°, I = 11

Cell and atoms:
Cell lengths 9.3483, 9.3483, 9.3483 Å; angles 145.71, 128.52, 63.32 degrees
Atoms (fractional coordinates):
Tb1 0.1999 0.1999 0.0000
Tb2 0.8001 0.8001 0.0000
Pm1 0.5000 0.5000 0.0000
Dy1 0.0677 0.3610 0.7067
Dy2 0.2052 0.0000 0.2052
Dy3 0.3376 0.8376 0.5000
Dy4 0.3456 0.6390 0.7067
Dy5 0.6544 0.3610 0.2933
Dy6 0.6624 0.1624 0.5000
Dy7 0.7948 0.0000 0.7948
Dy8 0.9323 0.6390 0.2933



Calculated powder X-ray diffraction pattern of Pu3Ga3Ir for copper Kα, from a crystal structure in Alexandria, relaxed with GGA-PBE.
Lines closer than 0.1° are merged.

Principal peaks in the range 10° ≤ 2θ ≤ 90°, low angle first:
- 30.44°, I = 100
- 32.25°, I = 34
- 32.64°, I = 53
- 33.02°, I = 45
- 33.31°, I = 58
- 35.80°, I = 66
- 38.74°, I = 47
- 41.18°, I = 51
- 43.21°, I = 29
- 53.96°, I = 30

Cell and atoms:
Cell lengths 5.8090, 5.8090, 12.7582 Å; angles 90.00, 90.00, 135.66 degrees
Atoms (fractional coordinates):
Pu1 0.0268 0.9732 0.7500
Pu2 0.2611 0.7389 0.0939
Pu3 0.2611 0.7389 0.4061
Pu4 0.7389 0.2611 0.5939
Pu5 0.7389 0.2611 0.9061
Pu6 0.9732 0.0268 0.2500
Ga1 0.2999 0.7001 0.7500
Ga2 0.4506 0.5494 0.5951
Ga3 0.4506 0.5494 0.9049
Ga4 0.5494 0.4506 0.0951
Ga5 0.5494 0.4506 0.4049
Ga6 0.7001 0.2999 0.2500
Ir1 0.0000 0.0000 0.0000
Ir2 0.0000 0.0000 0.5000



Calculated powder X-ray diffraction pattern of KHgSe2O8 for copper Kα, from a crystal structure in Alexandria, relaxed with GGA-PBE.
Lines closer than 0.1° are merged.

Principal peaks in the range 10° ≤ 2θ ≤ 90°, low angle first:
- 10.37°, I = 49
- 19.97°, I = 23
- 24.12°, I = 100
- 34.38°, I = 68
- 42.44°, I = 25
- 43.78°, I = 12
- 55.71°, I = 38
- 61.55°, I = 18
- 77.67°, I = 13
- 82.71°, I = 12

Cell and atoms:
Cell lengths 9.0478, 9.0478, 9.0478 Å; angles 33.49, 33.49, 33.49 degrees
Atoms (fractional coordinates):
K1 0.0000 0.0000 0.0000
Hg1 0.5000 0.5000 0.5000
Se1 0.2438 0.2438 0.2438
Se2 0.7562 0.7562 0.7562
O1 0.0789 0.7886 0.4653
O2 0.2114 0.5347 0.9211
O3 0.3085 0.3085 0.3085
O4 0.4653 0.0789 0.7886
O5 0.5347 0.9211 0.2114
O6 0.6915 0.6915 0.6915
O7 0.7886 0.4653 0.0789
O8 0.9211 0.2114 0.5347



Calculated powder X-ray diffraction pattern of Fe3Co5 for copper Kα, from a crystal structure in Alexandria, relaxed with GGA-PBE.
Lines closer than 0.1° are merged.

Principal peaks in the range 10° ≤ 2θ ≤ 90°, low angle first:
- 45.07°, I = 68
- 45.37°, I = 100
- 45.47°, I = 33
- 65.58°, I = 10
- 66.18°, I = 19
- 82.89°, I = 5
- 83.40°, I = 19
- 83.77°, I = 14
- 84.01°, I = 19

Cell and atoms:
Cell lengths 4.6990, 3.9892, 4.9299 Å; angles 90.00, 100.63, 90.00 degrees
Atoms (fractional coordinates):
Fe1 0.0000 0.0000 0.0000
Fe2 0.0019 0.0000 0.4989
Fe3 0.2567 0.5000 0.8777
Co1 0.2544 0.5000 0.3797
Co2 0.4992 0.0000 0.7509
Co3 0.5042 0.0000 0.2551
Co4 0.7499 0.5000 0.1163
Co5 0.7585 0.5000 0.6166



Calculated powder X-ray diffraction pattern of Ca6Cd2Ga for copper Kα, from a crystal structure in Alexandria, relaxed with GGA-PBE.
Lines closer than 0.1° are merged.

Principal peaks in the range 10° ≤ 2θ ≤ 90°, low angle first:
- 13.28°, I = 44
- 24.40°, I = 12
- 31.00°, I = 100
- 33.33°, I = 23
- 33.49°, I = 23
- 41.40°, I = 24
- 47.97°, I = 15
- 58.12°, I = 15
- 58.32°, I = 14
- 66.01°, I = 9

Cell and atoms:
Cell lengths 10.4337, 8.4657, 7.1864 Å; angles 83.18, 53.67, 43.15 degrees
Atoms (fractional coordinates):
Ca1 0.1364 0.8636 0.1364
Ca2 0.1963 0.4790 0.5210
Ca3 0.4790 0.1963 0.8037
Ca4 0.5210 0.8037 0.1963
Ca5 0.8037 0.5210 0.4790
Ca6 0.8636 0.1364 0.8636
Cd1 0.1701 0.1701 0.8299
Cd2 0.8299 0.8299 0.1701
Ga1 0.5000 0.5000 0.5000



Calculated powder X-ray diffraction pattern of Ga2Mo2Cl for copper Kα, from a crystal structure in Alexandria, relaxed with GGA-PBE.
Lines closer than 0.1° are merged.

Principal peaks in the range 10° ≤ 2θ ≤ 90°, low angle first:
- 16.86°, I = 43
- 37.11°, I = 25
- 38.27°, I = 32
- 39.10°, I = 100
- 43.90°, I = 22
- 50.61°, I = 11
- 52.84°, I = 16
- 57.73°, I = 10
- 71.05°, I = 14
- 71.40°, I = 9

Cell and atoms:
Cell lengths 7.4367, 7.4367, 3.1938 Å; angles 90.00, 90.00, 90.00 degrees
Atoms (fractional coordinates):
Ga1 0.1754 0.3246 0.0000
Ga2 0.3246 0.8246 0.0000
Ga3 0.6754 0.1754 0.0000
Ga4 0.8246 0.6754 0.0000
Mo1 0.1131 0.6131 0.5000
Mo2 0.3869 0.1131 0.5000
Mo3 0.6131 0.8869 0.5000
Mo4 0.8869 0.3869 0.5000
Cl1 0.0000 0.0000 0.5000
Cl2 0.5000 0.5000 0.5000



Calculated powder X-ray diffraction pattern of KRb2As for copper Kα, from a crystal structure in Alexandria, relaxed with GGA-PBE.
Lines closer than 0.1° are merged.

Principal peaks in the range 10° ≤ 2θ ≤ 90°, low angle first:
- 14.64°, I = 46
- 22.34°, I = 100
- 25.63°, I = 37
- 26.80°, I = 28
- 26.91°, I = 30
- 27.97°, I = 46
- 28.85°, I = 31
- 32.10°, I = 31
- 34.78°, I = 34
- 35.24°, I = 28

Cell and atoms:
Cell lengths 11.5816, 8.0655, 10.1863 Å; angles 90.00, 115.82, 90.00 degrees
Atoms (fractional coordinates):
K1 0.0002 0.0000 0.1972
K2 0.9998 0.0000 0.8028
K3 0.9998 0.5000 0.3028
K4 0.0002 0.5000 0.6972
Rb1 0.2751 0.1835 0.6365
Rb2 0.2751 0.3165 0.1365
Rb3 0.3153 0.7496 0.4066
Rb4 0.3153 0.7504 0.9066
Rb5 0.6847 0.2496 0.0934
Rb6 0.6847 0.2504 0.5934
Rb7 0.7249 0.6835 0.8635
Rb8 0.7249 0.8165 0.3635
As1 0.0600 0.6442 0.0298
As2 0.0600 0.8558 0.5298
As3 0.9400 0.1442 0.4702
As4 0.9400 0.3558 0.9702



Calculated powder X-ray diffraction pattern of BaMg9Ga2 for copper Kα, from a crystal structure in Alexandria, relaxed with GGA-PBE.
Lines closer than 0.1° are merged.

Principal peaks in the range 10° ≤ 2θ ≤ 90°, low angle first:
- 19.86°, I = 100
- 24.91°, I = 29
- 28.83°, I = 78
- 29.41°, I = 34
- 32.59°, I = 89
- 32.97°, I = 54
- 35.02°, I = 41
- 40.36°, I = 44
- 41.65°, I = 28
- 51.10°, I = 24

Cell and atoms:
Cell lengths 9.4473, 9.4473, 9.4473 Å; angles 99.97, 99.97, 130.81 degrees
Atoms (fractional coordinates):
Ba1 0.3750 0.6250 0.7500
Ba2 0.6250 0.3750 0.2500
Mg1 0.1250 0.8750 0.2500
Mg2 0.1363 0.5633 0.3261
Mg3 0.1363 0.8101 0.5730
Mg4 0.1899 0.2628 0.3261
Mg5 0.1899 0.8637 0.9270
Mg6 0.2628 0.1899 0.8261
Mg7 0.2628 0.4367 0.0730
Mg8 0.4367 0.2628 0.5730
Mg9 0.4367 0.8637 0.1739
Mg10 0.5633 0.1363 0.8261
Mg11 0.5633 0.7372 0.4270
Mg12 0.7372 0.5633 0.9270
Mg13 0.7372 0.8101 0.1739
Mg14 0.8101 0.1363 0.0730
Mg15 0.8101 0.7372 0.6739
Mg16 0.8637 0.1899 0.4270
Mg17 0.8637 0.4367 0.6739
Mg18 0.8750 0.1250 0.7500
Ga1 0.0000 0.0000 0.0000
Ga2 0.0000 0.0000 0.5000
Ga3 0.0000 0.5000 0.0000
Ga4 0.5000 0.0000 0.5000